Entry 1:
Calculated powder diffraction line list
Compound: Ac6Sn3Te
Radiation: copper Kα
Structure: a DFT-relaxed cell (GGA-PBE, Alexandria)

Structural model:
```
Ac6Sn3Te
1.0
6.407 -8.014 0.000
6.407 8.014 0.000
0.000 0.000 8.202
Ac Sn Te
12 6 2
direct
0.000 0.000 0.000 Ac
0.000 0.000 0.500 Ac
0.098 0.550 0.029 Ac
0.255 0.745 0.621 Ac
0.281 0.363 0.605 Ac
0.363 0.281 0.105 Ac
0.450 0.902 0.029 Ac
0.550 0.098 0.529 Ac
0.637 0.719 0.605 Ac
0.719 0.637 0.105 Ac
0.745 0.255 0.121 Ac
0.902 0.450 0.529 Ac
0.066 0.280 0.272 Sn
0.280 0.066 0.772 Sn
0.418 0.582 0.903 Sn
0.582 0.418 0.403 Sn
0.720 0.934 0.272 Sn
0.934 0.720 0.772 Sn
0.167 0.833 0.251 Te
0.833 0.167 0.751 Te
```

Peak list (8 most intense, 2θ from 15° to 90°, by angle)
d (Å)  2theta  I_rel
4.101  21.7  28
3.687  24.1  33
3.172  28.1  43
3.090  28.9  100
2.909  30.7  57
2.866  31.2  49
2.564  35.0  30
2.136  42.3  28

Entry 2:
Calculated powder diffraction line list
Compound: AcSn2Te3
Radiation: copper Kα
Structure: a DFT-relaxed cell (GGA-PBE, Alexandria)

Structural model:
```
AcSn2Te3
1.0
9.333 0.000 0.000
0.000 4.559 0.000
-3.911 0.000 11.853
Ac Sn Te
2 4 6
direct
0.201 0.250 0.176 Ac
0.799 0.750 0.824 Ac
0.249 0.750 0.488 Sn
0.496 0.750 0.081 Sn
0.504 0.250 0.919 Sn
0.751 0.250 0.512 Sn
0.047 0.250 0.376 Te
0.171 0.750 0.976 Te
0.441 0.750 0.327 Te
0.559 0.250 0.673 Te
0.829 0.250 0.024 Te
0.953 0.750 0.624 Te
```

Peak list (8 most intense, 2θ from 15° to 90°, by angle)
d (Å)  2theta  I_rel
3.678  24.2  100
3.143  28.4  53
3.056  29.2  80
2.922  30.6  54
2.575  34.8  78
2.570  34.9  73
2.280  39.5  57
2.023  44.8  49

Entry 3:
Calculated powder diffraction line list
Compound: Ac6SnTe8
Radiation: copper Kα
Structure: a DFT-relaxed cell (GGA-PBE, Alexandria)

Structural model:
```
Ac6SnTe8
1.0
0.000 6.674 6.674
6.674 0.000 6.674
6.674 6.674 0.000
Ac Sn Te
6 1 8
direct
0.000 0.000 0.500 Ac
0.000 0.500 0.000 Ac
0.000 0.500 0.500 Ac
0.500 0.000 0.000 Ac
0.500 0.000 0.500 Ac
0.500 0.500 0.000 Ac
0.000 0.000 0.000 Sn
0.244 0.244 0.756 Te
0.244 0.756 0.244 Te
0.244 0.756 0.756 Te
0.250 0.250 0.250 Te
0.750 0.750 0.750 Te
0.756 0.244 0.244 Te
0.756 0.244 0.756 Te
0.756 0.756 0.244 Te
```

Peak list (8 most intense, 2θ from 15° to 90°, by angle)
d (Å)  2theta  I_rel
3.337  26.7  100
2.360  38.1  79
1.927  47.2  29
1.669  55.0  14
1.492  62.2  38
1.362  68.9  28
1.180  81.6  9
1.112  87.7  19

Entry 4:
Calculated powder diffraction line list
Compound: AcSn6Te8
Radiation: copper Kα
Structure: a DFT-relaxed cell (GGA-PBE, Alexandria)

Structural model:
```
AcSn6Te8
1.0
11.215 0.000 0.000
-5.608 9.713 0.000
0.000 0.000 4.824
Ac Sn Te
1 6 8
direct
0.000 0.000 0.000 Ac
0.125 0.665 0.168 Sn
0.335 0.460 0.168 Sn
0.460 0.125 0.832 Sn
0.540 0.875 0.168 Sn
0.665 0.540 0.832 Sn
0.875 0.335 0.832 Sn
0.035 0.294 0.283 Te
0.258 0.965 0.283 Te
0.294 0.258 0.717 Te
0.333 0.667 0.753 Te
0.667 0.333 0.247 Te
0.706 0.742 0.283 Te
0.742 0.035 0.717 Te
0.965 0.706 0.717 Te
```

Peak list (8 most intense, 2θ from 15° to 90°, by angle)
d (Å)  2theta  I_rel
3.664  24.3  31
3.422  26.0  46
3.238  27.6  31
2.921  30.6  100
2.694  33.3  29
2.425  37.1  24
2.120  42.7  23
2.023  44.8  31

Entry 5:
Calculated powder diffraction line list
Compound: Ac2ZnSnTe5
Radiation: copper Kα
Structure: a DFT-relaxed cell (GGA-PBE, Alexandria)

Structural model:
```
Ac2ZnSnTe5
1.0
2.276 -9.919 0.000
2.276 9.919 0.000
0.000 0.000 13.421
Ac Zn Sn Te
4 2 2 10
direct
0.111 0.889 0.500 Ac
0.129 0.871 0.120 Ac
0.871 0.129 0.620 Ac
0.889 0.111 0.000 Ac
0.437 0.563 0.269 Zn
0.563 0.437 0.769 Zn
0.203 0.797 0.827 Sn
0.797 0.203 0.327 Sn
0.046 0.954 0.876 Te
0.284 0.716 0.486 Te
0.315 0.685 0.161 Te
0.361 0.639 0.813 Te
0.497 0.503 0.595 Te
0.503 0.497 0.095 Te
0.639 0.361 0.313 Te
0.685 0.315 0.661 Te
0.716 0.284 0.986 Te
0.954 0.046 0.376 Te
```

Peak list (8 most intense, 2θ from 15° to 90°, by angle)
d (Å)  2theta  I_rel
3.701  24.0  18
3.273  27.2  19
3.210  27.8  42
3.150  28.3  100
2.991  29.9  20
2.732  32.8  59
2.276  39.6  32
1.857  49.1  18

Entry 6:
Calculated powder diffraction line list
Compound: Ac3Th2Sn3
Radiation: copper Kα
Structure: a DFT-relaxed cell (GGA-PBE, Alexandria)

Structural model:
```
Ac3Th2Sn3
1.0
9.789 0.000 0.000
-4.894 8.477 0.000
0.000 0.000 6.705
Ac Th Sn
6 4 6
direct
0.000 0.250 0.250 Ac
0.000 0.750 0.750 Ac
0.250 0.000 0.250 Ac
0.250 0.250 0.750 Ac
0.750 0.000 0.750 Ac
0.750 0.750 0.250 Ac
0.333 0.667 0.000 Th
0.333 0.667 0.500 Th
0.667 0.333 0.000 Th
0.667 0.333 0.500 Th
0.000 0.397 0.750 Sn
0.000 0.603 0.250 Sn
0.397 0.000 0.750 Sn
0.397 0.397 0.250 Sn
0.603 0.000 0.250 Sn
0.603 0.603 0.750 Sn
```

Peak list (8 most intense, 2θ from 15° to 90°, by angle)
d (Å)  2theta  I_rel
3.204  27.8  39
3.118  28.6  23
2.891  30.9  100
2.826  31.7  50
2.766  32.4  85
1.977  45.9  24
1.833  49.7  27
1.791  51.0  23

Entry 7:
Calculated powder diffraction line list
Compound: Ac3ThSn4
Radiation: copper Kα
Structure: a DFT-relaxed cell (GGA-PBE, Alexandria)

Structural model:
```
Ac3ThSn4
1.0
-4.043 4.043 4.043
4.043 -4.043 4.043
4.043 4.043 -4.043
Ac Th Sn
3 1 4
direct
0.000 0.500 0.500 Ac
0.500 0.000 0.500 Ac
0.500 0.500 0.000 Ac
0.000 0.000 0.000 Th
0.000 0.000 0.500 Sn
0.000 0.500 0.000 Sn
0.500 0.000 0.000 Sn
0.500 0.500 0.500 Sn
```

Peak list (8 most intense, 2θ from 15° to 90°, by angle)
d (Å)  2theta  I_rel
4.043  22.0  10
2.859  31.3  100
2.022  44.8  19
1.808  50.5  5
1.651  55.7  41
1.430  65.3  13
1.279  74.2  18
1.167  82.7  5

Entry 8:
Calculated powder diffraction line list
Compound: Ac4TiSn8
Radiation: copper Kα
Structure: a DFT-relaxed cell (GGA-PBE, Alexandria)

Structural model:
```
Ac4TiSn8
1.0
4.639 0.000 0.000
0.000 4.866 0.000
0.000 0.000 18.227
Ac Ti Sn
4 1 8
direct
0.000 0.000 0.000 Ac
0.000 0.500 0.489 Ac
0.500 0.000 0.788 Ac
0.500 0.500 0.287 Ac
0.000 0.500 0.704 Ti
0.000 0.000 0.333 Sn
0.000 0.000 0.631 Sn
0.000 0.500 0.137 Sn
0.000 0.500 0.855 Sn
0.500 0.000 0.148 Sn
0.500 0.000 0.441 Sn
0.500 0.500 0.626 Sn
0.500 0.500 0.963 Sn
```

Peak list (8 most intense, 2θ from 15° to 90°, by angle)
d (Å)  2theta  I_rel
3.038  29.4  15
2.939  30.4  100
2.918  30.6  13
2.433  36.9  19
2.319  38.8  17
1.679  54.7  13
1.485  62.5  17
1.432  65.1  12

Entry 9:
Calculated powder diffraction line list
Compound: Ac3TlSn
Radiation: copper Kα
Structure: a DFT-relaxed cell (GGA-PBE, Alexandria)

Structural model:
```
Ac3TlSn
1.0
5.150 0.000 0.000
0.000 9.822 0.000
0.000 0.000 7.514
Ac Tl Sn
6 2 2
direct
0.250 0.053 0.243 Ac
0.250 0.250 0.743 Ac
0.250 0.447 0.243 Ac
0.750 0.553 0.757 Ac
0.750 0.750 0.257 Ac
0.750 0.947 0.757 Ac
0.250 0.750 0.548 Tl
0.750 0.250 0.452 Tl
0.250 0.750 0.963 Sn
0.750 0.250 0.037 Sn
```

Peak list (8 most intense, 2θ from 15° to 90°, by angle)
d (Å)  2theta  I_rel
3.213  27.8  100
3.001  29.8  25
2.900  30.8  73
2.763  32.4  17
2.575  34.8  32
1.989  45.6  21
1.649  55.7  31
1.574  58.6  20

Entry 10:
Calculated powder diffraction line list
Compound: Ac8Tl3Sn2
Radiation: copper Kα
Structure: a DFT-relaxed cell (GGA-PBE, Alexandria)

Structural model:
```
Ac8Tl3Sn2
1.0
5.671 -8.193 0.000
5.671 8.193 0.000
0.000 0.000 5.632
Ac Tl Sn
8 3 2
direct
0.121 0.879 0.000 Ac
0.122 0.376 0.500 Ac
0.368 0.632 0.000 Ac
0.376 0.122 0.500 Ac
0.624 0.878 0.500 Ac
0.632 0.368 0.000 Ac
0.878 0.624 0.500 Ac
0.879 0.121 0.000 Ac
0.252 0.252 0.000 Tl
0.500 0.500 0.500 Tl
0.748 0.748 0.000 Tl
0.243 0.757 0.500 Sn
0.757 0.243 0.500 Sn
```

Peak list (8 most intense, 2θ from 15° to 90°, by angle)
d (Å)  2theta  I_rel
3.996  22.2  15
2.861  31.3  100
2.836  31.6  25
2.816  31.8  24
1.998  45.4  19
1.642  56.0  20
1.634  56.3  20
1.430  65.2  13

Entry 11:
Calculated powder diffraction line list
Compound: Ac4TlSn2
Radiation: copper Kα
Structure: a DFT-relaxed cell (GGA-PBE, Alexandria)

Structural model:
```
Ac4TlSn2
1.0
6.611 0.000 0.000
0.000 7.398 0.000
-2.816 0.000 10.793
Ac Tl Sn
8 2 4
direct
0.005 0.015 0.254 Ac
0.005 0.485 0.254 Ac
0.352 0.750 0.530 Ac
0.443 0.750 0.133 Ac
0.557 0.250 0.867 Ac
0.648 0.250 0.470 Ac
0.995 0.515 0.746 Ac
0.995 0.985 0.746 Ac
0.482 0.750 0.829 Tl
0.518 0.250 0.171 Tl
0.102 0.250 0.000 Sn
0.199 0.250 0.548 Sn
0.801 0.750 0.452 Sn
0.898 0.750 0.000 Sn
```

Peak list (8 most intense, 2θ from 15° to 90°, by angle)
d (Å)  2theta  I_rel
3.695  24.1  32
3.201  27.9  100
3.118  28.6  31
3.051  29.3  48
2.936  30.4  29
2.921  30.6  46
2.747  32.6  32
1.849  49.3  29

Entry 12:
Calculated powder diffraction line list
Compound: Ac2Tl2Sn
Radiation: copper Kα
Structure: a DFT-relaxed cell (GGA-PBE, Alexandria)

Structural model:
```
Ac2Tl2Sn
1.0
4.027 0.000 0.000
0.000 2.481 8.448
0.000 -2.481 8.448
Ac Tl Sn
2 2 1
direct
0.000 0.000 0.000 Ac
0.000 0.240 0.240 Ac
0.500 0.618 0.618 Tl
0.500 0.816 0.816 Tl
0.500 0.422 0.422 Sn
```

Peak list (8 most intense, 2θ from 15° to 90°, by angle)
d (Å)  2theta  I_rel
3.075  29.0  100
2.915  30.7  57
2.793  32.0  75
2.734  32.8  23
2.481  36.2  33
1.889  48.2  33
1.633  56.3  31
1.609  57.2  18

Entry 13:
Calculated powder diffraction line list
Compound: AcTlSn4
Radiation: copper Kα
Structure: a DFT-relaxed cell (GGA-PBE, Alexandria)

Structural model:
```
AcTlSn4
1.0
0.000 4.489 4.489
4.489 0.000 4.489
4.489 4.489 0.000
Ac Tl Sn
1 1 4
direct
0.000 0.000 0.000 Ac
0.250 0.250 0.250 Tl
0.125 0.625 0.625 Sn
0.625 0.125 0.625 Sn
0.625 0.625 0.125 Sn
0.625 0.625 0.625 Sn
```

Peak list (8 most intense, 2θ from 15° to 90°, by angle)
d (Å)  2theta  I_rel
3.174  28.1  46
2.707  33.1  100
2.592  34.6  24
1.833  49.8  20
1.728  53.0  36
1.587  58.1  29
1.369  68.5  13
1.169  82.5  24